# Sm3Er2Th
Theoretical X-ray powder pattern, CuKα. Input: a DFT-relaxed cell (GGA-PBE, Alexandria).
Lines closer than 0.1° are merged.

Top 10 peaks for 2θ = 10–90°, low angle first:
2theta  Rel. int.
28.6  93
28.8  92
29.2  100
32.3  94
35.3  96
35.8  96
43.8  67
46.6  34
55.7  26
66.0  32

Cell and atoms:
Cell: 9.4752 12.4058 6.8498 Å, 90.00 90.00 90.00°
Space group Cmc2_1 (No. 36)
Symmetry-distinct sites (fractional):
Sm (0.0000, 0.1407, 0.0000) x4
Sm (0.1680, 0.3868, 0.7544) x8
Er (0.1715, 0.3460, 0.2510) x8
Th (0.0000, 0.1481, 0.5066) x4

# CuAs2Se4
Theoretical X-ray powder pattern, CuKα. Input: a DFT-relaxed cell (GGA-PBE, Alexandria).
Lines closer than 0.1° are merged.

Top 10 peaks for 2θ = 10–90°, low angle first:
2theta  Rel. int.
17.4  39
17.8  47
25.8  28
30.7  100
31.3  45
35.3  71
36.0  89
47.9  76
54.2  45
83.1  32

Cell and atoms:
Cell: 7.1932 7.1932 6.9089 Å, 90.00 90.00 90.00°
Space group I4/m (No. 87)
Symmetry-distinct sites (fractional):
Cu (0.0000, 0.0000, 0.0000) x2
As (0.0000, 0.5000, 0.2500) x4
Se (0.1790, 0.7085, 0.0000) x8

# SrCaZn2F8
Theoretical X-ray powder pattern, CuKα. Input: a DFT-relaxed cell (GGA-PBE, Alexandria).
Lines closer than 0.1° are merged.

Top 10 peaks for 2θ = 10–90°, low angle first:
2theta  Rel. int.
27.9  100
31.1  9
32.9  10
39.1  8
45.9  37
47.2  19
53.3  16
55.7  29
57.6  9
74.0  11

Cell and atoms:
Cell: 5.4450 5.4450 11.5136 Å, 90.00 90.00 90.00°
Space group I-4 (No. 82)
Symmetry-distinct sites (fractional):
Sr (0.0000, 0.0000, 0.0000) x2
Ca (0.0000, 0.5000, 0.7500) x2
Zn (0.0000, 0.0000, 0.5000) x2
Zn (0.0000, 0.5000, 0.2500) x2
F (0.1597, 0.2628, 0.5884) x8
F (0.1770, 0.7602, 0.1691) x8

# Sm2Cd3Pb3
Theoretical X-ray powder pattern, CuKα. Input: a DFT-relaxed cell (GGA-PBE, Alexandria).
Lines closer than 0.1° are merged.

Top 10 peaks for 2θ = 10–90°, low angle first:
2theta  Rel. int.
32.7  100
36.5  19
38.1  17
39.1  15
53.8  12
54.6  12
63.3  15
65.5  14
66.9  12
68.5  12

Cell and atoms:
Cell: 4.7241 4.9195 9.2044 Å, 90.00 90.00 90.00°
Space group Pmmm (No. 47)
Symmetry-distinct sites (fractional):
Sm (0.0000, 0.0000, 0.2484) x2
Cd (0.0000, 0.5000, 0.5000) x1
Cd (0.5000, 0.5000, 0.2631) x2
Pb (0.0000, 0.5000, 0.0000) x1
Pb (0.5000, 0.0000, 0.0000) x1
Pb (0.5000, 0.0000, 0.5000) x1

# Tl2TcI8
Theoretical X-ray powder pattern, CuKα. Input: a DFT-relaxed cell (GGA-PBE, Alexandria).
Lines closer than 0.1° are merged.

Top 10 peaks for 2θ = 10–90°, low angle first:
2theta  Rel. int.
13.9  100
21.9  35
25.8  29
29.7  44
31.2  24
32.4  24
32.7  25
35.7  25
37.2  43
38.0  31

Cell and atoms:
Cell: 14.4266 12.7049 6.3864 Å, 90.00 105.12 90.00°
Space group C2/m (No. 12)
Symmetry-distinct sites (fractional):
Tl (0.2324, 0.0000, 0.1160) x4
Tc (0.0000, 0.5000, 0.0000) x2
I (0.0032, 0.0000, 0.2583) x4
I (0.0705, 0.3460, 0.7882) x8
I (0.1733, 0.5000, 0.3139) x4

# AgIr2Rh2
Theoretical X-ray powder pattern, CuKα. Input: a DFT-relaxed cell (GGA-PBE, Alexandria).
Lines closer than 0.1° are merged.

Top 10 peaks for 2θ = 10–90°, low angle first:
2theta  Rel. int.
26.1  16
33.2  17
37.3  60
40.7  38
42.5  100
49.2  21
60.5  19
61.8  14
72.0  15
75.6  13

Cell and atoms:
Cell: 7.6315 7.6315 2.7233 Å, 90.00 90.00 90.00°
Space group P4/mbm (No. 127)
Symmetry-distinct sites (fractional):
Ag (0.0000, 0.0000, 0.0000) x2
Ir (0.1750, 0.3250, 0.5000) x4
Rh (0.1211, 0.6211, 0.0000) x4

# Ba6Mg7F26
Theoretical X-ray powder pattern, CuKα. Input: a DFT-relaxed cell (GGA-PBE, Alexandria).
Lines closer than 0.1° are merged.

Top 10 peaks for 2θ = 10–90°, low angle first:
2theta  Rel. int.
21.6  30
27.2  100
28.6  13
29.1  26
30.2  19
37.5  29
38.4  39
42.4  41
50.4  18
51.8  17

Cell and atoms:
Cell: 5.9211 12.2790 15.3853 Å, 90.00 90.00 90.00°
Space group Immm (No. 71)
Symmetry-distinct sites (fractional):
Ba (0.0000, 0.0000, 0.1478) x4
Ba (0.0000, 0.2384, 0.3510) x8
Mg (0.0000, 0.2311, 0.0000) x4
Mg (0.0000, 0.5000, 0.2204) x4
Mg (0.0000, 0.5000, 0.5000) x2
Mg (0.2472, 0.0000, 0.5000) x4
F (0.0000, 0.0000, 0.4125) x4
F (0.0000, 0.2178, 0.1262) x8
F (0.0000, 0.5000, 0.0890) x4
F (0.0000, 0.5000, 0.3707) x4
F (0.2317, 0.3863, 0.2421) x16
F (0.2447, 0.1637, 0.5000) x8
F (0.2502, 0.1120, 0.0000) x8

# Th2NbRh
Theoretical X-ray powder pattern, CuKα. Input: a DFT-relaxed cell (GGA-PBE, Alexandria).
Lines closer than 0.1° are merged.

Top 10 peaks for 2θ = 10–90°, low angle first:
2theta  Rel. int.
17.1  37
31.4  81
31.8  84
34.5  97
34.6  43
37.4  27
42.9  100
45.1  43
55.6  53
67.2  53

Cell and atoms:
Cell: 3.3051 3.3051 31.0961 Å, 90.00 90.00 120.00°
Space group R-3m (No. 166, hexagonal axes)
Symmetry-distinct sites (fractional):
Th (0.0000, 0.0000, 0.0936) x6
Nb (0.0000, 0.0000, 0.0000) x3
Rh (0.0000, 0.0000, 0.5000) x3

> Which formula does entry 7 have?

Ba6Mg7F26